1.
Sr2Hg2Cl: calculated powder X-ray diffraction pattern (a wavelength of 1.5418 Å), based on a crystal structure in Alexandria, relaxed with GGA-PBE.
Peak positions follow from Bragg's law for the DFT cell and can differ from measured ones.

Peak list (12 most intense, 2θ from 5° to 70°, in order of rising 2θ)
14.83°, I 31; 23.54°, I 14; 23.87°, I 24; 30.17°, I 100; 33.54°, I 22; 37.72°, I 16; 38.41°, I 17; 43.00°, I 16; 47.05°, I 15; 51.35°, I 13; 54.93°, I 12; 63.48°, I 12

Cell and atoms:
a b c (Å): 8.4504 8.4504 4.7693
angles (deg): 90.00 90.00 90.00
Positions (direct):
Sr 0.1806 0.3194 0.0000
Sr 0.3194 0.8194 0.0000
Sr 0.6806 0.1806 0.0000
Sr 0.8194 0.6806 0.0000
Hg 0.1234 0.6234 0.5000
Hg 0.3766 0.1234 0.5000
Hg 0.6234 0.8766 0.5000
Hg 0.8766 0.3766 0.5000
Cl 0.0000 0.0000 0.0000
Cl 0.5000 0.5000 0.0000

---

2.
Ge2Pb3Au3: calculated powder X-ray diffraction pattern (a wavelength of 1.5418 Å), based on a crystal structure in Alexandria, relaxed with GGA-PBE.
Peak positions follow from Bragg's law for the DFT cell and can differ from measured ones.

Peak list (12 most intense, 2θ from 5° to 70°, in order of rising 2θ)
28.40°, I 15; 30.10°, I 41; 30.75°, I 72; 33.75°, I 100; 34.08°, I 27; 35.54°, I 15; 37.54°, I 18; 42.76°, I 17; 43.39°, I 17; 43.90°, I 33; 52.66°, I 15; 64.32°, I 14

Cell and atoms:
a b c (Å): 6.7368 6.7368 14.4230
angles (deg): 90.00 90.00 144.34
Positions (direct):
Ge 0.2269 0.7731 0.5791
Ge 0.2269 0.7731 0.9209
Ge 0.7731 0.2269 0.0791
Ge 0.7731 0.2269 0.4209
Pb 0.0520 0.9480 0.1257
Pb 0.0520 0.9480 0.3743
Pb 0.3718 0.6282 0.2500
Pb 0.6282 0.3718 0.7500
Pb 0.9480 0.0520 0.6257
Pb 0.9480 0.0520 0.8743
Au 0.3038 0.6962 0.7500
Au 0.3945 0.6055 0.0319
Au 0.3945 0.6055 0.4681
Au 0.6055 0.3945 0.5319
Au 0.6055 0.3945 0.9681
Au 0.6962 0.3038 0.2500

---

3.
ErMgAg: calculated powder X-ray diffraction pattern (a wavelength of 1.5418 Å), based on a crystal structure in Alexandria, relaxed with GGA-PBE.
Peak positions follow from Bragg's law for the DFT cell and can differ from measured ones.

Peak list (12 most intense, 2θ from 5° to 70°, in order of rising 2θ)
7.50°, I 77; 15.03°, I 12; 30.16°, I 71; 34.72°, I 100; 37.09°, I 56; 37.89°, I 8; 38.17°, I 14; 53.45°, I 19; 54.27°, I 20; 62.60°, I 18; 65.33°, I 31; 67.56°, I 10

Cell and atoms:
a b c (Å): 11.7900 3.4283 3.4283
angles (deg): 89.99 90.00 90.00
Positions (direct):
Er 0.1113 0.2500 0.7500
Er 0.8887 0.7500 0.2500
Mg 0.4125 0.2474 0.7474
Mg 0.5875 0.7474 0.2474
Ag 0.2812 0.7493 0.2493
Ag 0.7188 0.2493 0.7493

---

4.
RbNdSnBr6: calculated powder X-ray diffraction pattern (a wavelength of 1.5418 Å), based on a crystal structure in Alexandria, relaxed with GGA-PBE.
Peak positions follow from Bragg's law for the DFT cell and can differ from measured ones.

Peak list (12 most intense, 2θ from 5° to 70°, in order of rising 2θ)
11.82°, I 38; 17.79°, I 73; 25.97°, I 99; 33.34°, I 100; 37.57°, I 30; 40.48°, I 49; 43.16°, I 31; 48.69°, I 22; 50.72°, I 19; 53.41°, I 21; 65.09°, I 26; 69.10°, I 19

Cell and atoms:
a b c (Å): 7.7200 7.7200 7.4878
angles (deg): 90.00 90.00 120.00
Positions (direct):
Rb 0.0000 0.0000 0.0000
Nd 0.6667 0.3333 0.5000
Sn 0.3333 0.6667 0.5000
Br 0.3760 0.0089 0.7238
Br 0.3760 0.3671 0.2762
Br 0.6329 0.0089 0.2762
Br 0.6329 0.6240 0.7238
Br 0.9911 0.3671 0.7238
Br 0.9911 0.6240 0.2762